No. 1
Diffraction record for SmTmTi. The XRD peak list is calculated, not measured: it uses a DFT-relaxed cell (PBE, Alexandria) and Cu Kα.
No peak broadening, texture or thermal motion is included.

Structural model:
```
6
Lattice="3.554 0.000 0.000 0.000 3.554 0.000 0.000 0.000 12.833" Properties=species:S:1:pos:R:3 pbc="T T T"
Sm 0.889 0.889 1.272
Sm 2.666 2.666 11.560
Tm 0.889 0.889 8.910
Tm 2.666 2.666 3.923
Ti 0.889 0.889 5.862
Ti 2.666 2.666 6.971
```

Most intense lines, 10 to 90 degrees two-theta, in order of rising 2θ:
2θ/deg, I_rel
28.7, 100
32.8, 96
35.0, 31
35.7, 74
37.8, 13
50.8, 43
51.4, 26
56.5, 16
60.0, 26
62.3, 30
63.7, 34
86.1, 20

=====

No. 2
Diffraction record for Sm2Tl3. The XRD peak list is calculated, not measured: it uses a DFT-relaxed cell (PBE, Alexandria) and Cu Kα.
No peak broadening, texture or thermal motion is included.

Structural model:
```
10
Lattice="0.000 7.985 3.202 5.596 0.000 3.202 5.596 7.985 0.000" Properties=species:S:1:pos:R:3 pbc="T T T"
Sm 6.280 4.838 3.202
Sm 7.709 8.830 4.802
Sm 4.911 11.133 3.202
Sm 3.482 7.140 4.802
Tl 4.925 1.757 3.086
Tl 2.127 2.236 1.486
Tl 3.469 5.750 1.486
Tl 5.596 7.985 2.478
Tl 8.394 11.978 4.079
Tl 6.267 14.213 3.086
```

Most intense lines, 10 to 90 degrees two-theta, in order of rising 2θ:
2θ/deg, I_rel
30.1, 12
32.2, 56
32.3, 100
32.5, 58
33.9, 46
34.2, 43
39.7, 21
46.6, 12
52.2, 17
59.6, 15
60.3, 13
64.8, 13

=====

No. 3
Diffraction record for Sm4Tl. The XRD peak list is calculated, not measured: it uses a DFT-relaxed cell (PBE, Alexandria) and Cu Kα.
No peak broadening, texture or thermal motion is included.

Structural model:
```
10
Lattice="-2.675 3.445 8.326 2.675 -3.445 8.326 2.675 3.445 -8.326" Properties=species:S:1:pos:R:3 pbc="T T T"
Sm 0.000 0.000 0.000
Sm 2.675 1.722 -1.712
Sm 0.000 0.056 3.303
Sm 2.675 0.056 5.023
Sm 0.000 3.445 0.000
Sm 0.000 3.388 3.303
Sm 2.675 3.388 5.023
Sm 0.000 1.722 10.038
Tl 2.675 1.722 1.816
Tl 0.000 1.722 6.510
```

Most intense lines, 10 to 90 degrees two-theta, in order of rising 2θ:
2θ/deg, I_rel
31.3, 89
31.6, 100
33.5, 44
33.8, 39
34.9, 15
41.8, 18
48.3, 29
54.6, 16
58.6, 15
58.7, 18
59.3, 16
63.2, 27

=====

No. 4
Diffraction record for Sm7Tl. The XRD peak list is calculated, not measured: it uses a DFT-relaxed cell (PBE, Alexandria) and Cu Kα.
No peak broadening, texture or thermal motion is included.

Structural model:
```
8
Lattice="0.000 5.042 5.042 5.042 0.000 5.042 5.042 5.042 0.000" Properties=species:S:1:pos:R:3 pbc="T T T"
Sm 0.000 0.000 0.000
Sm 2.521 2.521 0.000
Sm 2.521 0.000 2.521
Sm 5.042 2.521 2.521
Sm 0.000 2.521 2.521
Sm 2.521 5.042 2.521
Sm 2.521 2.521 5.042
Tl 5.042 5.042 5.042
```

Most intense lines, 10 to 90 degrees two-theta, in order of rising 2θ:
2θ/deg, I_rel
15.2, 1
29.4, 1
30.7, 100
35.6, 51
51.2, 36
60.9, 43
64.0, 12
75.4, 6
83.6, 18
86.3, 17

=====

No. 5
Diffraction record for Sm3Tl2. The XRD peak list is calculated, not measured: it uses a DFT-relaxed cell (PBE, Alexandria) and Cu Kα.
No peak broadening, texture or thermal motion is included.

Structural model:
```
10
Lattice="3.634 0.000 0.000 0.000 3.634 0.000 0.000 0.000 22.845" Properties=species:S:1:pos:R:3 pbc="T T T"
Sm 0.000 0.000 0.000
Sm 0.000 0.000 4.375
Sm 0.000 0.000 18.470
Sm 1.817 1.817 7.047
Sm 1.817 1.817 11.422
Sm 1.817 1.817 15.798
Tl 0.000 0.000 9.235
Tl 0.000 0.000 13.610
Tl 1.817 1.817 2.187
Tl 1.817 1.817 20.657
```

Most intense lines, 10 to 90 degrees two-theta, in order of rising 2θ:
2θ/deg, I_rel
31.5, 100
34.9, 39
39.4, 12
50.2, 14
53.7, 20
60.5, 32
65.7, 11
66.6, 9
82.4, 7
84.3, 7
87.0, 5
87.9, 9

=====

No. 6
Diffraction record for Sm4Tl. The XRD peak list is calculated, not measured: it uses a DFT-relaxed cell (PBE, Alexandria) and Cu Kα.
No peak broadening, texture or thermal motion is included.

Structural model:
```
10
Lattice="6.387 0.000 0.000 0.000 9.085 0.000 -2.421 0.000 5.660" Properties=species:S:1:pos:R:3 pbc="T T T"
Sm 1.080 1.521 0.345
Sm -0.130 7.564 3.175
Sm 0.327 3.845 2.938
Sm 1.537 5.240 0.108
Sm 2.429 3.845 5.552
Sm 3.639 5.240 2.722
Sm 4.096 1.521 2.485
Sm 2.886 7.564 5.316
Tl 1.378 1.084 4.245
Tl 2.588 8.001 1.415
```

Most intense lines, 10 to 90 degrees two-theta, in order of rising 2θ:
2θ/deg, I_rel
26.0, 20
27.6, 21
29.1, 40
29.5, 28
29.9, 31
32.0, 19
32.6, 100
33.2, 17
34.2, 60
34.5, 38
41.9, 17
53.0, 16

=====

No. 7
Diffraction record for Sm12Tm2Tl. The XRD peak list is calculated, not measured: it uses a DFT-relaxed cell (PBE, Alexandria) and Cu Kα.
No peak broadening, texture or thermal motion is included.

Structural model:
```
30
Lattice="3.615 -5.721 0.000 3.615 5.721 0.000 0.000 0.000 24.367" Properties=species:S:1:pos:R:3 pbc="T T T"
Sm 1.815 2.861 3.003
Sm 3.615 5.713 22.611
Sm 1.942 2.861 14.354
Sm 3.615 5.444 10.695
Sm 1.807 0.000 4.760
Sm 1.807 0.000 7.861
Sm 1.807 0.000 16.506
Sm 1.807 0.000 19.607
Sm 3.615 0.277 10.695
Sm 5.287 2.861 14.354
Sm 3.615 0.009 22.611
Sm 5.415 2.861 3.003
Sm 1.815 -2.861 21.364
Sm 3.615 -0.009 1.756
Sm 1.942 -2.861 10.013
Sm 3.615 -0.277 13.672
Sm 5.422 0.000 4.760
Sm 5.422 0.000 7.861
Sm 5.422 0.000 16.506
Sm 5.422 0.000 19.607
Sm 3.615 -5.444 13.672
Sm 5.287 -2.861 10.013
Sm 3.615 -5.713 1.756
Sm 5.415 -2.861 21.364
Tm 3.615 2.861 6.441
Tm 3.615 2.861 18.009
Tm 3.615 -2.861 6.358
Tm 3.615 -2.861 17.926
Tl 3.615 2.861 0.004
Tl 3.615 -2.861 24.363
```

Most intense lines, 10 to 90 degrees two-theta, in order of rising 2θ:
2θ/deg, I_rel
28.7, 37
30.0, 38
30.2, 79
31.3, 100
32.8, 60
33.3, 85
36.8, 49
43.0, 24
50.5, 23
57.0, 16
60.6, 24
61.9, 29

=====

No. 8
Diffraction record for SmTm5Tl6. The XRD peak list is calculated, not measured: it uses a DFT-relaxed cell (PBE, Alexandria) and Cu Kα.
No peak broadening, texture or thermal motion is included.

Structural model:
```
12
Lattice="4.605 -8.029 0.000 4.605 8.029 0.000 -3.091 0.000 4.360" Properties=species:S:1:pos:R:3 pbc="T T T"
Sm 0.000 0.000 0.000
Tm 3.060 5.390 2.180
Tm 4.605 2.684 0.000
Tm 3.060 0.000 2.180
Tm 4.605 -2.684 0.000
Tm 3.060 -5.390 2.180
Tl 1.554 2.717 1.106
Tl 0.028 0.000 3.305
Tl 1.554 -2.717 1.106
Tl 4.566 2.717 3.255
Tl 6.092 0.000 1.056
Tl 4.566 -2.717 3.255
```

Most intense lines, 10 to 90 degrees two-theta, in order of rising 2θ:
2θ/deg, I_rel
33.5, 51
33.6, 100
48.1, 19
48.5, 9
60.0, 29
60.1, 14
60.2, 9
60.3, 5
70.6, 6
70.8, 6
80.3, 13
80.8, 8

=====

No. 9
Diffraction record for Sm3Tm2Tl2. The XRD peak list is calculated, not measured: it uses a DFT-relaxed cell (PBE, Alexandria) and Cu Kα.
No peak broadening, texture or thermal motion is included.

Structural model:
```
14
Lattice="9.443 0.000 0.000 0.000 5.465 0.000 -3.168 0.000 8.050" Properties=species:S:1:pos:R:3 pbc="T T T"
Sm 0.000 0.000 0.000
Sm -0.009 0.000 3.786
Sm 1.562 2.732 4.263
Sm 4.722 2.732 0.000
Sm 4.713 2.732 3.786
Sm 6.284 0.000 4.263
Tm -1.587 2.732 5.788
Tm 3.141 0.000 2.262
Tm 3.134 0.000 5.788
Tm 7.862 2.732 2.262
Tl 1.570 2.732 1.134
Tl -0.016 0.000 6.916
Tl 6.291 0.000 1.134
Tl 4.705 2.732 6.916
```

Most intense lines, 10 to 90 degrees two-theta, in order of rising 2θ:
2θ/deg, I_rel
32.1, 96
32.8, 100
46.5, 23
46.7, 11
56.8, 16
58.1, 24
58.2, 12
58.5, 13
58.7, 6
67.2, 9
68.8, 8
76.7, 8

=====

No. 10
Diffraction record for SmTmTl2. The XRD peak list is calculated, not measured: it uses a DFT-relaxed cell (PBE, Alexandria) and Cu Kα.
No peak broadening, texture or thermal motion is included.

Structural model:
```
16
Lattice="7.621 0.000 0.000 0.000 7.621 0.000 0.000 0.000 7.621" Properties=species:S:1:pos:R:3 pbc="T T T"
Sm 0.000 0.000 0.000
Sm 0.000 3.811 3.811
Sm 3.811 0.000 3.811
Sm 3.811 3.811 0.000
Tm 0.000 0.000 3.811
Tm 0.000 3.811 0.000
Tm 3.811 0.000 0.000
Tm 3.811 3.811 3.811
Tl 1.905 1.905 1.905
Tl 1.905 1.905 5.716
Tl 1.905 5.716 1.905
Tl 1.905 5.716 5.716
Tl 5.716 1.905 1.905
Tl 5.716 1.905 5.716
Tl 5.716 5.716 1.905
Tl 5.716 5.716 5.716
```

Most intense lines, 10 to 90 degrees two-theta, in order of rising 2θ:
2θ/deg, I_rel
23.3, 1
33.2, 100
47.7, 18
53.8, 1
59.4, 39
69.8, 12
79.5, 17
89.0, 4

=====

No. 11
Diffraction record for SmTm5Tl2. The XRD peak list is calculated, not measured: it uses a DFT-relaxed cell (PBE, Alexandria) and Cu Kα.
No peak broadening, texture or thermal motion is included.

Structural model:
```
16
Lattice="3.622 0.000 0.000 0.000 10.291 0.000 0.000 0.000 12.627" Properties=species:S:1:pos:R:3 pbc="T T T"
Sm 0.000 0.000 0.000
Sm 1.811 5.145 6.313
Tm 0.000 2.338 4.630
Tm 0.000 2.338 7.996
Tm 0.000 5.145 0.000
Tm 0.000 7.952 4.630
Tm 0.000 7.952 7.996
Tm 1.811 0.000 6.313
Tm 1.811 2.807 1.683
Tm 1.811 2.807 10.943
Tm 1.811 7.484 1.683
Tm 1.811 7.484 10.943
Tl 0.000 5.145 3.270
Tl 0.000 5.145 9.357
Tl 1.811 0.000 3.043
Tl 1.811 0.000 9.583
```

Most intense lines, 10 to 90 degrees two-theta, in order of rising 2θ:
2θ/deg, I_rel
29.7, 20
31.0, 71
32.6, 51
33.3, 100
34.9, 41
36.1, 22
38.9, 31
48.5, 28
50.4, 17
59.4, 15
60.1, 31
61.8, 34

=====

No. 12
Diffraction record for Sm5Tm3Tl2. The XRD peak list is calculated, not measured: it uses a DFT-relaxed cell (PBE, Alexandria) and Cu Kα.
No peak broadening, texture or thermal motion is included.

Structural model:
```
20
Lattice="-6.597 7.694 3.253 6.597 -7.694 3.253 6.597 7.694 -3.253" Properties=species:S:1:pos:R:3 pbc="T T T"
Sm 1.373 2.603 0.000
Sm 3.332 7.694 -1.626
Sm 0.000 0.000 1.626
Sm 3.266 0.000 1.626
Sm 7.970 5.090 0.000
Sm -1.373 2.603 3.253
Sm 3.332 7.694 1.626
Sm 0.000 0.000 4.879
Sm 3.266 0.000 4.879
Sm 5.225 5.090 3.253
Tm 4.965 3.174 0.000
Tm 6.597 0.000 1.626
Tm 4.965 -3.174 3.253
Tm 1.632 10.868 0.000
Tm 0.000 7.694 1.626
Tm 1.632 4.519 3.253
Tl 8.231 2.151 0.000
Tl 1.634 5.542 0.000
Tl 4.964 2.151 3.253
Tl -1.634 5.542 3.253
```

Most intense lines, 10 to 90 degrees two-theta, in order of rising 2θ:
2θ/deg, I_rel
20.0, 23
25.9, 37
29.5, 99
29.8, 100
35.0, 81
35.9, 43
36.2, 44
38.3, 20
38.9, 99
53.3, 38
65.1, 23
68.3, 22